Diffraction record for CsTc2MoO8. The powder diffraction line list is calculated, not measured: it uses a DFT-relaxed cell (PBE+U, Alexandria) and copper Kα.
Kinematic intensities with the Lorentz-polarization factor, no thermal factor.

Main lines, in order of falling intensity (10° ≤ 2θ ≤ 90°):
Position (°2θ), I (rel.), (hkl)
27.66, 100, 0 1 2
20.47, 97, 1 0 1
30.48, 73, 1 1 0
41.62, 35, 0 2 2
52.46, 33, 3 -2 2
17.46, 25, 1 0 0
53.92, 23, 1 1 4
48.66, 18, 2 1 1
54.16, 14, 3 0 0
70.55, 14, 3 1 2

Structure:
Cell: 5.8659 5.8659 8.3474 Å, 90.00 90.00 120.00°
Space group P-3 (No. 147)
One atom of each set of equivalent atoms:
Cs  0.0000  0.0000  0.0000 [1 per cell]
Tc  0.3333  0.6667  0.7191 [2 per cell]
Mo  0.0000  0.0000  0.5000 [1 per cell]
O  0.1629  0.3329  0.6479 [6 per cell]
O  0.3333  0.6667  0.9289 [2 per cell]

---

Diffraction record for CsThMoO6. The powder diffraction line list is calculated, not measured: it uses a DFT-relaxed cell (PBE+U, Alexandria) and copper Kα.
Kinematic intensities with the Lorentz-polarization factor, no thermal factor.

Main lines, in order of falling intensity (10° ≤ 2θ ≤ 90°):
Position (°2θ), I (rel.), (hkl)
22.17, 100, 1 1 -1
22.84, 96, 1 1 1
21.75, 91, 0 2 1
13.46, 89, 0 0 1
30.24, 75, 1 3 0
40.68, 54, 1 3 -2
27.12, 46, 0 0 2
41.45, 31, 1 3 2
31.89, 30, 2 0 0
37.10, 25, 0 4 1

Structure:
Cell: 5.6152 10.4280 6.5804 Å, 90.00 91.98 90.00°
Space group C2 (No. 5)
One atom of each set of equivalent atoms:
Cs  0.0000  0.0000  0.0000 [2 per cell]
Th  0.0000  0.3264  0.5000 [2 per cell]
Mo  0.0000  0.6460  0.5000 [2 per cell]
O  0.1306  0.5155  0.3432 [4 per cell]
O  0.1748  0.7877  0.3233 [4 per cell]
O  0.2391  0.1866  0.3203 [4 per cell]

---

Diffraction record for CsTiMoO6. The powder diffraction line list is calculated, not measured: it uses a DFT-relaxed cell (PBE+U, Alexandria) and copper Kα.
Kinematic intensities with the Lorentz-polarization factor, no thermal factor.

Main lines, in order of falling intensity (10° ≤ 2θ ≤ 90°):
Position (°2θ), I (rel.), (hkl)
23.26, 100, 0 1 -1
23.87, 42, 1 0 -1
32.91, 22, 1 2 0
27.61, 16, 0 0 2
33.58, 13, 2 1 0
43.30, 12, 2 1 2
43.76, 10, -1 1 2
43.11, 10, 1 2 2
13.70, 9, 0 0 1
43.91, 9, 1 2 -2

Structure:
Cell: 5.3378 5.4385 6.4648 Å, 89.03 88.20 60.79°
Space group P1 (No. 1)
One atom of each set of equivalent atoms:
Cs  0.0000  0.0000  0.0000 [1 per cell]
Ti  0.6853  0.6338  0.5336 [1 per cell]
Mo  0.3196  0.3597  0.4856 [1 per cell]
O  0.0067  0.4123  0.3305 [1 per cell]
O  0.0114  0.5691  0.6863 [1 per cell]
O  0.4056  0.9950  0.6481 [1 per cell]
O  0.4209  0.5790  0.3241 [1 per cell]
O  0.5734  0.4163  0.6862 [1 per cell]
O  0.6042  0.0060  0.3646 [1 per cell]